Record 1
Structure and simulated PXRD pattern of LiFe3O4 (a DFT-relaxed cell (PBE+U, the Materials Project); Cu Kα X-rays).

Cell and atoms:
```
LiFe3O4
1.0
3.062 0.000 0.000
0.002 5.176 0.000
0.056 1.537 4.979
Li Fe O
1 3 4
direct
0.000 0.000 0.000
0.000 0.500 0.500
0.500 0.000 0.500
0.500 0.500 0.000
0.011 0.736 0.776
0.494 0.742 0.253
0.506 0.258 0.747
0.989 0.264 0.224
```

Most intense lines, 5° ≤ 2θ ≤ 70°, by intensity:
- hkl 1 -1 1, d = 2.182 Å, I = 100
- hkl 1 1 -1, d = 2.163 Å, I = 98
- hkl 0 2 2, d = 2.089 Å, I = 87
- hkl 1 3 1, d = 1.502 Å, I = 78
- hkl 0 2 0, d = 2.475 Å, I = 67
- hkl 0 1 0, d = 4.946 Å, I = 52
- hkl 0 0 1, d = 4.979 Å, I = 36
- hkl 0 0 2, d = 2.489 Å, I = 35
- hkl -1 1 1, d = 2.462 Å, I = 33
- hkl 0 1 1, d = 4.179 Å, I = 29


Record 2
Structure and simulated PXRD pattern of LiFeO2 (a DFT-relaxed cell (PBE+U, the Materials Project); Cu Kα X-rays).

Cell and atoms:
```
LiFeO2
1.0
3.025 0.000 0.000
0.000 3.025 0.000
0.000 0.000 3.947
Li Fe O
1 1 2
direct
0.000 0.000 0.000
0.500 0.500 0.500
0.000 0.000 0.500
0.500 0.500 0.000
```

Most intense lines, 5° ≤ 2θ ≤ 70°, by intensity:
- hkl 1 1 0, d = 2.139 Å, I = 100
- hkl 1 0 0, d = 3.025 Å, I = 88
- hkl 0 0 1, d = 3.947 Å, I = 88
- hkl 1 1 2, d = 1.450 Å, I = 47
- hkl 1 1 1, d = 1.881 Å, I = 41
- hkl 0 0 2, d = 1.973 Å, I = 38
- hkl 1 0 1, d = 2.401 Å, I = 31
- hkl 2 0 0, d = 1.512 Å, I = 28
- hkl 1 0 2, d = 1.653 Å, I = 26
- hkl 2 0 1, d = 1.412 Å, I = 15


Record 3
Structure and simulated PXRD pattern of LiFeO2 (a DFT-relaxed cell (PBE+U, the Materials Project); Cu Kα X-rays).

Cell and atoms:
```
LiFeO2
1.0
2.883 0.000 0.000
-1.442 2.497 0.000
0.000 0.000 14.311
Li Fe O
3 3 6
direct
0.000 0.000 0.000
0.333 0.667 0.667
0.667 0.333 0.333
0.000 0.000 0.500
0.333 0.667 0.167
0.667 0.333 0.833
0.000 0.000 0.240
0.000 0.000 0.760
0.333 0.667 0.426
0.333 0.667 0.907
0.667 0.333 0.093
0.667 0.333 0.574
```

Most intense lines, 5° ≤ 2θ ≤ 70°, by intensity:
- hkl 0 0 3, d = 4.770 Å, I = 100
- hkl 1 0 4, d = 2.048 Å, I = 72
- hkl 1 0 1, d = 2.460 Å, I = 39
- hkl 1 1 0, d = 1.442 Å, I = 20
- hkl 0 1 8, d = 1.454 Å, I = 19
- hkl 1 0 7, d = 1.582 Å, I = 14
- hkl 1 1 3, d = 1.380 Å, I = 14
- hkl 0 1 2, d = 2.358 Å, I = 13
- hkl 0 1 5, d = 1.882 Å, I = 12
- hkl 0 0 6, d = 2.385 Å, I = 5


Record 4
Structure and simulated PXRD pattern of Li7Fe5O16 (a DFT-relaxed cell (PBE+U, the Materials Project); Cu Kα X-rays).

Cell and atoms:
```
Li7Fe5O16
1.0
5.755 0.000 0.000
-2.858 5.197 0.000
-0.065 -0.545 9.418
Li Fe O
7 5 16
direct
0.000 0.000 0.000
0.004 0.008 0.524
0.173 0.343 0.287
0.335 0.665 0.601
0.344 0.163 0.786
0.675 0.340 0.099
0.822 0.162 0.786
0.170 0.830 0.288
0.329 0.653 0.014
0.640 0.280 0.525
0.664 0.828 0.286
0.818 0.635 0.787
0.046 0.548 0.154
0.155 0.796 0.902
0.172 0.341 0.924
0.333 0.147 0.409
0.352 0.691 0.389
0.494 0.962 0.157
0.506 0.544 0.155
0.517 0.029 0.643
0.527 0.476 0.648
0.644 0.795 0.901
0.684 0.361 0.895
0.817 0.151 0.409
0.829 0.681 0.395
0.951 0.478 0.645
0.978 0.953 0.717
0.991 0.987 0.197
```

Most intense lines, 5° ≤ 2θ ≤ 70°, by intensity:
- hkl 0 1 -1, d = 4.660 Å, I = 100
- hkl 0 1 0, d = 5.189 Å, I = 51
- hkl 1 0 -1, d = 4.508 Å, I = 37
- hkl 1 -1 1, d = 4.475 Å, I = 37
- hkl 0 1 2, d = 3.393 Å, I = 36
- hkl 2 2 0, d = 1.485 Å, I = 29
- hkl 0 1 -2, d = 3.592 Å, I = 29
- hkl -1 1 1, d = 4.389 Å, I = 25
- hkl 0 0 1, d = 9.418 Å, I = 22
- hkl 0 1 3, d = 2.622 Å, I = 22